For LaPuPt3, a structure optimized by DFT (PBE) gives the computed powder diffractogram in this record (Cu Ka).
No peak broadening, texture or thermal motion is included.

Crystal structure
a b c (Å): 3.913 27.726 4.229
angles (deg): 90.00 90.00 90.00
Space group Cmcm (No. 63)
Asymmetric unit:
La 0.000 0.074 0.250 x4
Pu 0.000 0.207 0.750 x4
Pt 0.000 0.312 0.750 x4
Pt 0.000 0.376 0.250 x4
Pt 0.000 0.471 0.250 x4

Largest 10 diffraction maxima, in order of falling intensity, 2θ = 10–90°:
- 32.65 deg, I = 100, (1 3 1)
- 38.84 deg, I = 47, (0 10 1)
- 43.06 deg, I = 40, (1 9 1)
- 32.16 deg, I = 30, (1 7 0)
- 42.76 deg, I = 29, (0 0 2)
- 62.07 deg, I = 24, (2 10 1)
- 46.41 deg, I = 23, (2 0 0)
- 64.94 deg, I = 17, (2 0 2)
- 54.51 deg, I = 17, (1 7 2)
- 22.95 deg, I = 15, (1 1 0)